For KAg2BSe4, a cell relaxed with GGA-PBE gives the theoretical powder X-ray diffraction pattern in this record (Cu Ka).
No peak broadening, texture or thermal motion is included.

Peak list (8 most intense, 2θ = 5–70°, in order of falling intensity)
Position (°2θ), Rel. int., hkl
28.80, 100, 1 1 2
31.39, 39, 2 1 1
47.85, 29, 3 1 2
37.37, 29, 2 2 0
52.56, 28, 2 0 4
41.97, 23, 3 1 0
43.75, 16, 2 2 2
21.93, 15, 0 0 2

Cell and atoms:
Cell lengths 6.805, 6.809, 8.105 Å; angles 90.00, 90.00, 90.00 degrees
Space group I222 (No. 23)
Unique sites:
K1 0.000 0.000 0.000
Ag1 0.000 0.500 0.251
B1 0.000 0.000 0.500
Se1 0.182 0.181 0.634



For Ba3U2CdS9, a cell relaxed with GGA-PBE gives the theoretical powder X-ray diffraction pattern in this record (Cu Ka).
No peak broadening, texture or thermal motion is included.

Peak list (8 most intense, 2θ = 5–70°, in order of falling intensity)
Position (°2θ), Rel. int., hkl
24.22, 100, 0 1 2
24.34, 98, 1 1 0
34.61, 86, 2 0 2
42.79, 69, 3 0 0
17.11, 31, 1 0 1
49.88, 30, 2 2 0
49.62, 29, 0 2 4
67.78, 24, 4 1 0

Cell and atoms:
Cell lengths 7.3129, 7.3129, 9.0234 Å; angles 90.00, 90.00, 120.00 degrees
Space group P-3m1 (No. 164)
Unique sites:
Ba1 0.0000 0.0000 0.0000
Ba2 0.3333 0.6667 0.6490
U1 0.3333 0.6667 0.1728
Cd1 0.0000 0.0000 0.5000
S1 0.0000 0.5000 0.0000
S2 0.1678 0.3357 0.3297



For Ni4H7Pb, a cell relaxed with GGA-PBE gives the theoretical powder X-ray diffraction pattern in this record (Cu Ka).
No peak broadening, texture or thermal motion is included.

Peak list (8 most intense, 2θ = 5–70°, in order of falling intensity)
Position (°2θ), Rel. int., hkl
34.84, 100, 1 3 0
32.44, 84, 1 1 1
17.49, 70, 0 0 1
35.42, 60, 0 4 1
45.15, 37, 1 1 2
23.21, 37, 0 2 1
39.24, 34, 1 3 1
38.70, 31, 0 2 2

Cell and atoms:
Cell lengths 3.427, 11.705, 5.071 Å; angles 90.00, 90.00, 90.00 degrees
Space group Pmmn (No. 59, origin choice 2)
Unique sites:
Ni1 0.250 0.031 0.170
Ni2 0.250 0.116 0.676
H1 0.250 0.138 0.367
H2 0.250 0.250 0.612
H3 0.250 0.512 0.840
H4 0.250 0.593 0.343
Pb1 0.250 0.750 0.953



For Sb3MoPt12, a cell relaxed with GGA-PBE gives the theoretical powder X-ray diffraction pattern in this record (Cu Ka).
No peak broadening, texture or thermal motion is included.

Peak list (8 most intense, 2θ = 5–70°, in order of falling intensity)
Position (°2θ), Rel. int., hkl
38.26, 100, 2 0 4
45.66, 33, 2 2 0
63.77, 17, 2 2 8
42.00, 15, 0 0 8
66.56, 11, 4 0 0
34.47, 5, 1 1 -5
53.18, 4, 0 0 10
22.97, 3, 1 1 -1

Cell and atoms:
Cell lengths 5.617, 5.622, 17.209 Å; angles 90.00, 90.00, 90.00 degrees
Space group C2/m (No. 12)
Unique sites:
Sb1 0.000 0.000 0.000
Sb2 0.001 0.500 0.763
Mo1 0.000 0.500 0.500
Pt1 0.000 0.000 0.500
Pt2 0.000 0.500 0.000
Pt3 0.001 0.000 0.727
Pt4 0.250 0.250 0.126
Pt5 0.250 0.250 0.389



For Ac2PrNdY2, a cell relaxed with GGA-PBE gives the theoretical powder X-ray diffraction pattern in this record (Cu Ka).
No peak broadening, texture or thermal motion is included.

Peak list (8 most intense, 2θ = 5–70°, in order of falling intensity)
Position (°2θ), Rel. int., hkl
27.98, 100, 2 2 0
28.42, 86, 0 3 1
22.83, 44, 1 4 0
39.13, 42, 2 3 1
28.11, 41, 0 6 0
31.11, 39, 1 6 0
43.71, 32, 1 7 1
58.78, 30, 0 6 2

Cell and atoms:
Cell lengths 6.771, 19.049, 3.612 Å; angles 90.00, 90.00, 90.00 degrees
Space group Pnnm (No. 58)
Unique sites:
Ac1 0.215 0.192 0.000
Pr1 0.000 0.500 0.000
Nd1 0.000 0.000 0.000
Y1 0.213 0.361 0.500



For Ce2Ge4Os3, a cell relaxed with GGA-PBE gives the theoretical powder X-ray diffraction pattern in this record (Cu Ka).
No peak broadening, texture or thermal motion is included.

Peak list (8 most intense, 2θ = 5–70°, in order of falling intensity)
Position (°2θ), Rel. int., hkl
39.08, 100, 2 0 2
35.90, 60, 1 5 1
38.29, 52, 0 6 1
34.97, 32, 2 2 1
26.84, 30, 0 2 2
43.89, 22, 0 6 2
32.75, 19, 2 2 0
61.62, 18, 2 6 3

Cell and atoms:
Cell lengths 5.879, 14.890, 7.423 Å; angles 90.00, 90.00, 90.00 degrees
Space group Cmce (No. 64)
Unique sites:
Ce1 0.000 0.114 0.090
Ge1 0.000 0.180 0.477
Ge2 0.250 0.057 0.750
Os1 0.000 0.000 0.500
Os2 0.250 0.227 0.750



For Ge3Br7, a cell relaxed with GGA-PBE gives the theoretical powder X-ray diffraction pattern in this record (Cu Ka).
No peak broadening, texture or thermal motion is included.

Peak list (8 most intense, 2θ = 5–70°, in order of falling intensity)
Position (°2θ), Rel. int., hkl
30.19, 100, 2 1 1
16.48, 33, 1 0 1
35.82, 32, 2 2 0
44.84, 32, 2 0 3
37.96, 31, 2 1 2
54.51, 22, 5 0 1
33.31, 21, 2 0 2
33.61, 21, 3 0 1

Cell and atoms:
Cell lengths 10.0270, 10.0270, 6.8521 Å; angles 90.00, 90.00, 120.00 degrees
Space group P6_3mc (No. 186)
Unique sites:
Ge1 0.1941 0.3881 0.0000
Br1 0.0821 0.5411 0.2010
Br2 0.1268 0.2537 0.6291
Br3 0.3333 0.6667 0.7891



For Pm2TmGe2, a cell relaxed with GGA-PBE gives the theoretical powder X-ray diffraction pattern in this record (Cu Ka).
No peak broadening, texture or thermal motion is included.

Peak list (8 most intense, 2θ = 5–70°, in order of falling intensity)
Position (°2θ), Rel. int., hkl
33.26, 100, 2 1 1
31.08, 58, 2 0 1
37.27, 43, 3 1 0
26.17, 27, 1 1 1
56.74, 26, 3 1 2
41.19, 22, 0 0 2
53.76, 18, 4 1 1
55.21, 15, 3 3 1

Cell and atoms:
Cell lengths 7.630, 7.630, 4.384 Å; angles 90.00, 90.00, 90.00 degrees
Space group P4/mbm (No. 127)
Unique sites:
Pm1 0.174 0.326 0.000
Tm1 0.000 0.000 0.500
Ge1 0.124 0.624 0.500



Question: Which formula does entry 8 have?
Answer: Pm2TmGe2